Cs2AgRu: calculated powder diffraction line list (CuKα), based on a PBE-relaxed structure.

Principal peaks in the range 15 to 90 degrees two-theta, in order of rising 2θ:
two_theta  I/Imax
15.2  1000
18.2  434
23.8  551
30.7  879
34.4  267
35.2  252
36.9  316
41.6  311
44.0  320
48.7  282

Structure:
```
Cs2AgRu
1.0
11.649 0.000 0.000
0.000 11.649 0.000
0.000 0.000 5.369
Cs Ag Ru
8 4 4
direct
0.000 0.000 0.000
0.000 0.500 0.000
0.250 0.250 0.750
0.250 0.750 0.250
0.500 0.000 0.500
0.500 0.500 0.500
0.750 0.250 0.750
0.750 0.750 0.250
0.000 0.250 0.375
0.000 0.750 0.625
0.500 0.250 0.125
0.500 0.750 0.875
0.000 0.250 0.875
0.000 0.750 0.125
0.500 0.250 0.625
0.500 0.750 0.375
```



Cs3Ag9Sb4S12: calculated powder diffraction line list (CuKα), based on a PBE-relaxed structure.

Principal peaks in the range 15 to 90 degrees two-theta, in order of rising 2θ:
two_theta  I/Imax
22.4  142
25.0  533
28.5  1000
29.6  151
33.7  129
35.7  128
36.5  123
40.0  235
49.2  233
52.5  196

Structure:
```
Cs3Ag9Sb4S12
1.0
-5.624 5.624 5.996
5.624 -5.624 5.996
5.624 5.624 -5.996
Cs Ag Sb S
3 9 4 12
direct
0.000 0.000 0.000
0.329 0.329 0.000
0.671 0.671 0.000
0.008 0.503 0.853
0.012 0.510 0.175
0.164 0.988 0.498
0.334 0.836 0.825
0.490 0.666 0.502
0.497 0.349 0.505
0.651 0.155 0.147
0.750 0.250 0.500
0.845 0.992 0.495
0.138 0.397 0.514
0.376 0.862 0.259
0.603 0.118 0.741
0.882 0.624 0.486
0.098 0.789 0.209
0.111 0.902 0.691
0.211 0.420 0.309
0.305 0.674 0.973
0.326 0.299 0.631
0.437 0.109 0.234
0.580 0.889 0.791
0.668 0.695 0.369
0.701 0.332 0.027
0.797 0.563 0.671
0.875 0.203 0.766
0.891 0.125 0.329
```



Cs2Si2AgS6: calculated powder diffraction line list (CuKα), based on a PBE-relaxed structure.

Principal peaks in the range 15 to 90 degrees two-theta, in order of rising 2θ:
two_theta  I/Imax
21.0  268
23.9  1000
25.1  717
30.1  318
32.9  545
34.9  296
43.2  312
43.5  387
51.5  280
57.2  221

Structure:
```
Cs2Si2AgS6
1.0
3.551 2.050 7.786
-3.551 2.050 7.786
0.000 -4.100 7.786
Cs Si Ag S
2 2 1 6
direct
0.217 0.217 0.217
0.783 0.783 0.783
0.408 0.408 0.408
0.592 0.592 0.592
0.000 0.000 0.000
0.245 0.245 0.745
0.245 0.745 0.245
0.255 0.755 0.755
0.745 0.245 0.245
0.755 0.255 0.755
0.755 0.755 0.255
```



CsTh2AgS5: calculated powder diffraction line list (CuKα), based on a PBE-relaxed structure.

Principal peaks in the range 15 to 90 degrees two-theta, in order of rising 2θ:
two_theta  I/Imax
23.8  540
25.4  999
25.7  662
30.9  1000
35.7  268
37.7  238
39.3  611
42.8  236
48.6  275
71.1  285

Structure:
```
CsTh2AgS5
1.0
-3.977 3.977 7.492
3.977 -3.977 7.492
3.977 3.977 -7.492
Cs Th Ag S
2 4 2 10
direct
0.250 0.250 0.000
0.750 0.750 0.000
0.166 0.666 0.832
0.334 0.166 0.500
0.666 0.834 0.500
0.834 0.334 0.168
0.250 0.750 0.500
0.750 0.250 0.500
0.000 0.000 0.000
0.027 0.243 0.500
0.243 0.743 0.216
0.257 0.473 0.500
0.473 0.973 0.216
0.500 0.500 0.000
0.527 0.027 0.784
0.743 0.527 0.500
0.757 0.257 0.784
0.973 0.757 0.500
```



Cs2ThAg2S4: calculated powder diffraction line list (CuKα), based on a PBE-relaxed structure.

Principal peaks in the range 15 to 90 degrees two-theta, in order of rising 2θ:
two_theta  I/Imax
21.7  368
22.7  693
23.3  377
27.7  964
30.1  996
32.1  483
32.3  1000
36.9  325
42.3  397
49.5  358

Structure:
```
Cs2ThAg2S4
1.0
7.727 -2.136 0.000
7.727 2.136 0.000
-2.666 0.000 7.827
Cs Th Ag S
2 1 2 4
direct
0.138 0.138 0.069
0.862 0.862 0.931
0.000 0.000 0.500
0.320 0.320 0.515
0.680 0.680 0.485
0.189 0.189 0.673
0.487 0.487 0.719
0.513 0.513 0.281
0.811 0.811 0.327
```



Cs2UAg2S4: calculated powder diffraction line list (CuKα), based on a PBE-relaxed structure.

Principal peaks in the range 15 to 90 degrees two-theta, in order of rising 2θ:
two_theta  I/Imax
22.1  368
22.8  701
23.5  379
28.1  921
30.4  997
32.5  476
32.7  1000
37.3  317
43.1  402
49.9  404

Structure:
```
Cs2UAg2S4
1.0
7.642 -2.097 0.000
7.642 2.097 0.000
-2.643 0.000 7.793
Cs U Ag S
2 1 2 4
direct
0.137 0.137 0.068
0.863 0.863 0.932
0.000 0.000 0.500
0.321 0.321 0.518
0.679 0.679 0.482
0.186 0.186 0.671
0.488 0.488 0.714
0.512 0.512 0.286
0.814 0.814 0.329
```



CsAg2Sb4: calculated powder diffraction line list (CuKα), based on a PBE-relaxed structure.

Principal peaks in the range 15 to 90 degrees two-theta, in order of rising 2θ:
two_theta  I/Imax
21.9  395
23.3  201
27.2  1000
28.1  432
39.2  457
41.8  320
42.4  267
43.4  278
44.6  329
67.3  187

Structure:
```
CsAg2Sb4
1.0
11.145 0.000 0.000
0.000 8.139 0.000
-5.228 0.000 5.565
Cs Ag Sb
2 4 8
direct
0.000 0.000 0.000
0.500 0.500 0.000
0.001 0.500 0.252
0.499 0.000 0.748
0.501 0.000 0.252
0.999 0.500 0.748
0.000 0.249 0.500
0.000 0.751 0.500
0.249 0.000 0.750
0.251 0.500 0.250
0.500 0.251 0.500
0.500 0.749 0.500
0.749 0.500 0.750
0.751 0.000 0.250
```



Cs2Ag12Sb7: calculated powder diffraction line list (CuKα), based on a PBE-relaxed structure.

Principal peaks in the range 15 to 90 degrees two-theta, in order of rising 2θ:
two_theta  I/Imax
30.5  1000
33.3  148
36.3  170
37.5  136
38.4  289
41.0  218
43.2  146
45.1  189
61.7  135
71.4  225

Structure:
```
Cs2Ag12Sb7
1.0
11.082 0.000 0.000
-5.541 9.597 0.000
0.000 0.000 4.954
Cs Ag Sb
2 12 7
direct
0.333 0.667 0.261
0.667 0.333 0.739
0.053 0.627 0.697
0.124 0.250 0.329
0.126 0.876 0.329
0.250 0.126 0.671
0.373 0.427 0.697
0.427 0.053 0.303
0.573 0.947 0.697
0.627 0.573 0.303
0.750 0.874 0.329
0.874 0.124 0.671
0.876 0.750 0.671
0.947 0.373 0.303
0.000 0.000 0.000
0.095 0.394 0.801
0.298 0.905 0.801
0.394 0.298 0.199
0.606 0.702 0.801
0.702 0.095 0.199
0.905 0.606 0.199
```